The following is a theoretical powder diffractogram of YInAg2O4. It was derived from a crystal structure in OQMD, relaxed with GGA-PBE, using a wavelength of 1.5418 Å.
Lines closer than 0.1° are merged.

Most intense lines, 2θ from 15° to 90°, in order of rising 2θ:
2θ/deg  d_spacing  I_rel
28.3  3.151  44
31.2  2.867  68
33.6  2.667  100
37.3  2.411  16
47.5  1.915  19
53.6  1.710  33
53.9  1.700  32
62.0  1.496  28
65.1  1.433  14
83.7  1.156  12

Atomic structure:
```
data_YInAg2O4
_symmetry_space_group_name_H-M 'P 1'
_symmetry_Int_Tables_number 1
_symmetry_space_group_name_Hall 'P 1'
_cell_length_a 3.3991
_cell_length_b 3.3991
_cell_length_c 12.6059
_cell_angle_alpha 90.00
_cell_angle_beta 90.00
_cell_angle_gamma 120.00
loop_
_atom_site_label
_atom_site_type_symbol
_atom_site_fract_x
_atom_site_fract_y
_atom_site_fract_z
_atom_site_occupancy
Y1 Y 0.0000 0.0000 0.0000 1
In1 In 0.0000 0.0000 0.5000 1
Ag1 Ag 0.3333 0.6667 0.2520 1
Ag2 Ag 0.6667 0.3333 0.7480 1
O1 O 0.3333 0.6667 0.0875 1
O2 O 0.3333 0.6667 0.4176 1
O3 O 0.6667 0.3333 0.5824 1
O4 O 0.6667 0.3333 0.9125 1
```



The following is a theoretical powder diffractogram of InAgOsSe3. It was derived from a crystal structure in OQMD, relaxed with GGA-PBE, using a wavelength of 1.5418 Å.
Lines closer than 0.1° are merged.

Most intense lines, 2θ from 15° to 90°, in order of rising 2θ:
2θ/deg  d_spacing  I_rel
21.5  4.128  65
29.4  3.034  100
36.6  2.454  39
42.3  2.138  62
47.7  1.908  50
48.2  1.890  22
51.4  1.778  19
53.3  1.718  11
62.0  1.497  16
73.1  1.295  16

Atomic structure:
```
data_InAgOsSe3
_symmetry_space_group_name_H-M 'P 1'
_symmetry_Int_Tables_number 1
_symmetry_space_group_name_Hall 'P 1'
_cell_length_a 7.8611
_cell_length_b 7.8611
_cell_length_c 9.8175
_cell_angle_alpha 90.00
_cell_angle_beta 90.00
_cell_angle_gamma 152.18
loop_
_atom_site_label
_atom_site_type_symbol
_atom_site_fract_x
_atom_site_fract_y
_atom_site_fract_z
_atom_site_occupancy
In1 In 0.1731 0.8269 0.7500 1
In2 In 0.8269 0.1731 0.2500 1
Ag1 Ag 0.1871 0.8129 0.2500 1
Ag2 Ag 0.8129 0.1871 0.7500 1
Os1 Os 0.5000 0.5000 0.0000 1
Os2 Os 0.5000 0.5000 0.5000 1
Se1 Se 0.1076 0.8924 0.0222 1
Se2 Se 0.1076 0.8924 0.4778 1
Se3 Se 0.4602 0.5398 0.2500 1
Se4 Se 0.5398 0.4602 0.7500 1
Se5 Se 0.8924 0.1076 0.5222 1
Se6 Se 0.8924 0.1076 0.9778 1
```



The following is a theoretical powder diffractogram of InAgTe2PbSe. It was derived from a crystal structure in OQMD, relaxed with GGA-PBE, using a wavelength of 1.5418 Å.
Lines closer than 0.1° are merged.

Most intense lines, 2θ from 15° to 90°, in order of rising 2θ:
2θ/deg  d_spacing  I_rel
26.2  3.400  28
27.6  3.236  24
28.8  3.099  42
29.8  2.993  40
30.9  2.893  28
32.6  2.744  34
32.8  2.732  100
37.2  2.416  23
40.7  2.218  33
44.7  2.028  30

Atomic structure:
```
data_InAgTe2PbSe
_symmetry_space_group_name_H-M 'P 1'
_symmetry_Int_Tables_number 1
_symmetry_space_group_name_Hall 'P 1'
_cell_length_a 7.4836
_cell_length_b 7.4836
_cell_length_c 11.5700
_cell_angle_alpha 90.00
_cell_angle_beta 90.00
_cell_angle_gamma 148.55
loop_
_atom_site_label
_atom_site_type_symbol
_atom_site_fract_x
_atom_site_fract_y
_atom_site_fract_z
_atom_site_occupancy
In1 In 0.2440 0.7560 0.7500 1
In2 In 0.7560 0.2440 0.2500 1
Ag1 Ag 0.0301 0.9699 0.2500 1
Ag2 Ag 0.9699 0.0301 0.7500 1
Te1 Te 0.1672 0.8328 0.0735 1
Te2 Te 0.1672 0.8328 0.4265 1
Te3 Te 0.8328 0.1672 0.5735 1
Te4 Te 0.8328 0.1672 0.9265 1
Pb1 Pb 0.5000 0.5000 0.0000 1
Pb2 Pb 0.5000 0.5000 0.5000 1
Se1 Se 0.4044 0.5956 0.2500 1
Se2 Se 0.5956 0.4044 0.7500 1
```



The following is a theoretical powder diffractogram of Tm3In3AgPdPt. It was derived from a crystal structure in OQMD, relaxed with GGA-PBE, using a wavelength of 1.5418 Å.
Lines closer than 0.1° are merged.

Most intense lines, 2θ from 15° to 90°, in order of rising 2θ:
2θ/deg  d_spacing  I_rel
33.3  2.690  100
35.1  2.554  42
35.9  2.499  89
40.0  2.252  50
43.0  2.104  23
48.6  1.874  17
49.0  1.857  21
61.8  1.502  16
65.1  1.433  23
65.2  1.430  34

Atomic structure:
```
data_Tm3In3AgPdPt
_symmetry_space_group_name_H-M 'P 1'
_symmetry_Int_Tables_number 1
_symmetry_space_group_name_Hall 'P 1'
_cell_length_a 7.8018
_cell_length_b 7.8018
_cell_length_c 3.7145
_cell_angle_alpha 90.00
_cell_angle_beta 90.00
_cell_angle_gamma 120.00
loop_
_atom_site_label
_atom_site_type_symbol
_atom_site_fract_x
_atom_site_fract_y
_atom_site_fract_z
_atom_site_occupancy
Tm1 Tm 0.0783 0.7371 0.0000 1
Tm2 Tm 0.2629 0.3412 0.0000 1
Tm3 Tm 0.6588 0.9217 0.0000 1
In1 In 0.3933 0.0654 0.5000 1
In2 In 0.6720 0.6067 0.5000 1
In3 In 0.9346 0.3280 0.5000 1
Ag1 Ag 0.6667 0.3333 0.0000 1
Pd1 Pd 0.0000 0.0000 0.5000 1
Pt1 Pt 0.3333 0.6667 0.5000 1
```



The following is a theoretical powder diffractogram of Y3In3AgPdPt. It was derived from a crystal structure in OQMD, relaxed with GGA-PBE, using a wavelength of 1.5418 Å.
Lines closer than 0.1° are merged.

Most intense lines, 2θ from 15° to 90°, in order of rising 2θ:
2θ/deg  d_spacing  I_rel
22.7  3.914  16
32.7  2.735  89
35.0  2.562  45
35.4  2.536  100
39.9  2.260  62
42.5  2.128  47
47.6  1.911  25
60.4  1.532  18
63.8  1.459  30
64.7  1.441  40

Atomic structure:
```
data_Y3In3AgPdPt
_symmetry_space_group_name_H-M 'P 1'
_symmetry_Int_Tables_number 1
_symmetry_space_group_name_Hall 'P 1'
_cell_length_a 7.8277
_cell_length_b 7.8277
_cell_length_c 3.8226
_cell_angle_alpha 90.00
_cell_angle_beta 90.00
_cell_angle_gamma 120.00
loop_
_atom_site_label
_atom_site_type_symbol
_atom_site_fract_x
_atom_site_fract_y
_atom_site_fract_z
_atom_site_occupancy
Y1 Y 0.0802 0.3410 0.0000 1
Y2 Y 0.2608 0.9198 0.0000 1
Y3 Y 0.6590 0.7392 0.0000 1
In1 In 0.3952 0.3268 0.5000 1
In2 In 0.6732 0.0685 0.5000 1
In3 In 0.9315 0.6048 0.5000 1
Ag1 Ag 0.6667 0.3333 0.0000 1
Pd1 Pd 0.0000 0.0000 0.5000 1
Pt1 Pt 0.3333 0.6667 0.5000 1
```



The following is a theoretical powder diffractogram of InAgPtSeS2. It was derived from a crystal structure in OQMD, relaxed with GGA-PBE, using a wavelength of 1.5418 Å.
Lines closer than 0.1° are merged.

Most intense lines, 2θ from 15° to 90°, in order of rising 2θ:
2θ/deg  d_spacing  I_rel
21.4  4.145  44
30.5  2.934  23
32.1  2.789  100
33.4  2.684  45
41.5  2.174  18
46.0  1.972  17
47.0  1.934  62
50.2  1.819  14
54.3  1.689  16
61.6  1.506  15

Atomic structure:
```
data_InAgPtSeS2
_symmetry_space_group_name_H-M 'P 1'
_symmetry_Int_Tables_number 1
_symmetry_space_group_name_Hall 'P 1'
_cell_length_a 6.7699
_cell_length_b 6.7699
_cell_length_c 10.7369
_cell_angle_alpha 90.00
_cell_angle_beta 90.00
_cell_angle_gamma 148.83
loop_
_atom_site_label
_atom_site_type_symbol
_atom_site_fract_x
_atom_site_fract_y
_atom_site_fract_z
_atom_site_occupancy
In1 In 0.1685 0.8315 0.7500 1
In2 In 0.8315 0.1685 0.2500 1
Ag1 Ag 0.1621 0.8379 0.2500 1
Ag2 Ag 0.8379 0.1621 0.7500 1
Pt1 Pt 0.5000 0.5000 0.0000 1
Pt2 Pt 0.5000 0.5000 0.5000 1
Se1 Se 0.4920 0.5080 0.2500 1
Se2 Se 0.5080 0.4920 0.7500 1
S1 S 0.1199 0.8801 0.0063 1
S2 S 0.1199 0.8801 0.4937 1
S3 S 0.8801 0.1199 0.5063 1
S4 S 0.8801 0.1199 0.9937 1
```



Repeat the second record exactly.
The following is a theoretical powder diffractogram of InAgOsSe3. It was derived from a crystal structure in OQMD, relaxed with GGA-PBE, using a wavelength of 1.5418 Å.
Lines closer than 0.1° are merged.

Most intense lines, 2θ from 15° to 90°, in order of rising 2θ:
2θ/deg  d_spacing  I_rel
21.5  4.128  65
29.4  3.034  100
36.6  2.454  39
42.3  2.138  62
47.7  1.908  50
48.2  1.890  22
51.4  1.778  19
53.3  1.718  11
62.0  1.497  16
73.1  1.295  16

Atomic structure:
```
data_InAgOsSe3
_symmetry_space_group_name_H-M 'P 1'
_symmetry_Int_Tables_number 1
_symmetry_space_group_name_Hall 'P 1'
_cell_length_a 7.8611
_cell_length_b 7.8611
_cell_length_c 9.8175
_cell_angle_alpha 90.00
_cell_angle_beta 90.00
_cell_angle_gamma 152.18
loop_
_atom_site_label
_atom_site_type_symbol
_atom_site_fract_x
_atom_site_fract_y
_atom_site_fract_z
_atom_site_occupancy
In1 In 0.1731 0.8269 0.7500 1
In2 In 0.8269 0.1731 0.2500 1
Ag1 Ag 0.1871 0.8129 0.2500 1
Ag2 Ag 0.8129 0.1871 0.7500 1
Os1 Os 0.5000 0.5000 0.0000 1
Os2 Os 0.5000 0.5000 0.5000 1
Se1 Se 0.1076 0.8924 0.0222 1
Se2 Se 0.1076 0.8924 0.4778 1
Se3 Se 0.4602 0.5398 0.2500 1
Se4 Se 0.5398 0.4602 0.7500 1
Se5 Se 0.8924 0.1076 0.5222 1
Se6 Se 0.8924 0.1076 0.9778 1
```